Starting from a crystal structure in Alexandria, relaxed with PBE, the powder diffraction line list of Zr3Cu was calculated for CuKα.

Cell and atoms:
```
data_Zr3Cu
_cell_length_a 6.832
_cell_length_b 6.832
_cell_length_c 6.832
_cell_angle_alpha 90.00
_cell_angle_beta 90.00
_cell_angle_gamma 90.00
_symmetry_space_group_name_H-M 'F m -3 m'
_symmetry_Int_Tables_number 225
_symmetry_space_group_name_Hall '-F 4 2 3'
loop_
_atom_site_label
_atom_site_type_symbol
_atom_site_fract_x
_atom_site_fract_y
_atom_site_fract_z
Zr1 Zr 0.000 0.000 0.000
Zr2 Zr 0.250 0.250 0.250
Cu1 Cu 0.000 0.000 0.500
```

The 7 most intense peaks (2θ from 15° to 90°), sorted by position:
two_theta  d [Å]  I (rel.)
22.5  3.944  1.2
26.1  3.416  0.6
37.2  2.415  100.0
44.0  2.060  0.6
53.7  1.708  16.8
67.1  1.395  33.2
79.3  1.208  10.1